Diffraction record for TiReN3. The PXRD pattern is theoretical, not measured: it uses a structure optimized by DFT (PBE) and Cu Kα, 1.54184 Å.
Intensities are scaled so that the largest is 1000.

```
data_TiReN3
_cell_length_a 5.1044
_cell_length_b 5.1044
_cell_length_c 14.1979
_cell_angle_alpha 90.00
_cell_angle_beta 90.00
_cell_angle_gamma 120.00
_symmetry_space_group_name_H-M 'R 3 c'
_symmetry_Int_Tables_number 161
_symmetry_space_group_name_Hall 'R 3 -2"c'
loop_
_atom_site_label
_atom_site_fract_x
_atom_site_fract_y
_atom_site_fract_z
Ti1 0.0000 0.0000 0.0000
Re1 0.0000 0.0000 0.1954
N1 0.0236 0.3414 0.2640
```

Top 12 peaks for 10 to 80 degrees two-theta, in order of rising 2θ:
2θ 23.7, rel. 1000, (0 1 2)
2θ 32.3, rel. 760, (1 0 4)
2θ 35.2, rel. 708, (1 1 0)
2θ 38.0, rel. 129, (0 0 6)
2θ 42.9, rel. 195, (2 0 2)
2θ 48.5, rel. 267, (0 2 4)
2θ 52.8, rel. 507, (1 1 6)
2θ 56.6, rel. 189, (1 2 2)
2θ 61.3, rel. 254, (2 1 4)
2θ 63.1, rel. 194, (3 0 0)
2θ 69.5, rel. 115, (1 0 10)
2θ 76.1, rel. 116, (3 0 6)

Diffraction record for ReWN3. The PXRD pattern is theoretical, not measured: it uses a structure optimized by DFT (PBE) and Cu Kα, 1.54184 Å.
Intensities are scaled so that the largest is 1000.

```
data_ReWN3
_cell_length_a 3.893
_cell_length_b 8.048
_cell_length_c 8.547
_cell_angle_alpha 107.95
_cell_angle_beta 91.12
_cell_angle_gamma 102.01
_symmetry_space_group_name_H-M 'P -1'
_symmetry_Int_Tables_number 2
loop_
_symmetry_equiv_pos_as_xyz
'x,y,z'
'-x,-y,-z'
loop_
_atom_site_label
_atom_site_fract_x
_atom_site_fract_y
_atom_site_fract_z
Re1 0.134 0.376 0.375
Re2 0.291 0.944 0.801
W1 0.012 0.692 0.331
W2 0.136 0.246 0.039
N1 0.182 0.490 0.170
N2 0.193 0.176 0.780
N3 0.204 0.823 0.548
N4 0.249 0.152 0.228
N5 0.305 0.512 0.621
N6 0.383 0.844 0.009
```

Top 12 peaks for 10 to 80 degrees two-theta, in order of rising 2θ:
2θ 13.3, rel. 1000, (0 1 -1)
2θ 23.5, rel. 654, (1 0 0)
2θ 25.5, rel. 304, (1 -1 1)
2θ 28.5, rel. 259, (1 1 -1)
2θ 28.7, rel. 358, (1 1 0)
2θ 29.6, rel. 780, (1 -2 0)
2θ 31.4, rel. 255, (1 -1 2)
2θ 34.2, rel. 628, (0 2 -3)
2θ 38.9, rel. 298, (0 1 3)
2θ 39.2, rel. 508, (1 0 -3)
2θ 46.7, rel. 305, (1 3 -2)
2θ 48.0, rel. 298, (0 3 -4)

Diffraction record for RhN. The PXRD pattern is theoretical, not measured: it uses a structure optimized by DFT (PBE) and Cu Kα, 1.54184 Å.
Intensities are scaled so that the largest is 1000.

```
data_RhN
_cell_length_a 4.622
_cell_length_b 4.622
_cell_length_c 4.622
_cell_angle_alpha 90.00
_cell_angle_beta 90.00
_cell_angle_gamma 90.00
_symmetry_space_group_name_H-M 'F -4 3 m'
_symmetry_Int_Tables_number 216
_symmetry_space_group_name_Hall 'F -4 2 3'
loop_
_atom_site_label
_atom_site_fract_x
_atom_site_fract_y
_atom_site_fract_z
Rh1 0.000 0.000 0.000
N1 0.250 0.250 0.750
```

Top 5 peaks for 10 to 80 degrees two-theta, in order of rising 2θ:
2θ 33.6, rel. 1000, (1 1 1)
2θ 39.0, rel. 374, (2 0 0)
2θ 56.3, rel. 398, (2 2 0)
2θ 67.2, rel. 382, (3 1 1)
2θ 70.6, rel. 90, (2 2 2)

Diffraction record for RhN. The PXRD pattern is theoretical, not measured: it uses a structure optimized by DFT (PBE) and Cu Kα, 1.54184 Å.
Intensities are scaled so that the largest is 1000.

```
data_RhN
_cell_length_a 2.9319
_cell_length_b 2.9319
_cell_length_c 2.8562
_cell_angle_alpha 90.00
_cell_angle_beta 90.00
_cell_angle_gamma 120.00
_symmetry_space_group_name_H-M 'P -6 m 2'
_symmetry_Int_Tables_number 187
_symmetry_space_group_name_Hall 'P -6 2'
loop_
_atom_site_label
_atom_site_fract_x
_atom_site_fract_y
_atom_site_fract_z
Rh1 0.0000 0.0000 0.0000
N1 0.3333 0.6667 0.5000
```

Top 8 peaks for 10 to 80 degrees two-theta, in order of rising 2θ:
2θ 31.3, rel. 372, (0 0 1)
2θ 35.3, rel. 949, (1 0 0)
2θ 47.9, rel. 1000, (1 0 1)
2θ 63.5, rel. 226, (1 1 0)
2θ 65.3, rel. 69, (0 0 2)
2θ 72.5, rel. 208, (1 1 1)
2θ 74.8, rel. 106, (2 0 0)
2θ 76.5, rel. 198, (1 0 2)

Diffraction record for RhN. The PXRD pattern is theoretical, not measured: it uses a structure optimized by DFT (PBE) and Cu Kα, 1.54184 Å.
Intensities are scaled so that the largest is 1000.

```
data_RhN
_cell_length_a 4.353
_cell_length_b 4.353
_cell_length_c 4.353
_cell_angle_alpha 90.00
_cell_angle_beta 90.00
_cell_angle_gamma 90.00
_symmetry_space_group_name_H-M 'F m -3 m'
_symmetry_Int_Tables_number 225
_symmetry_space_group_name_Hall '-F 4 2 3'
loop_
_atom_site_label
_atom_site_fract_x
_atom_site_fract_y
_atom_site_fract_z
Rh1 0.000 0.000 0.000
N1 0.000 0.000 0.500
```

Top 5 peaks for 10 to 80 degrees two-theta, in order of rising 2θ:
2θ 35.7, rel. 1000, (1 1 1)
2θ 41.5, rel. 810, (2 0 0)
2θ 60.1, rel. 511, (2 2 0)
2θ 71.9, rel. 404, (3 1 1)
2θ 75.7, rel. 167, (2 2 2)

Diffraction record for RhN. The PXRD pattern is theoretical, not measured: it uses a structure optimized by DFT (PBE) and Cu Kα, 1.54184 Å.
Intensities are scaled so that the largest is 1000.

```
data_RhN
_cell_length_a 3.0484
_cell_length_b 3.0484
_cell_length_c 5.1549
_cell_angle_alpha 90.00
_cell_angle_beta 90.00
_cell_angle_gamma 120.00
_symmetry_space_group_name_H-M 'P 63/m m c'
_symmetry_Int_Tables_number 194
_symmetry_space_group_name_Hall '-P 6c 2c'
loop_
_atom_site_label
_atom_site_fract_x
_atom_site_fract_y
_atom_site_fract_z
Rh1 0.0000 0.0000 0.0000
N1 0.3333 0.6667 0.2500
```

Top 8 peaks for 10 to 80 degrees two-theta, in order of rising 2θ:
2θ 34.0, rel. 1000, (1 0 0)
2θ 34.8, rel. 270, (0 0 2)
2θ 38.3, rel. 19, (1 0 1)
2θ 49.4, rel. 866, (1 0 2)
2θ 60.8, rel. 249, (1 1 0)
2θ 71.5, rel. 114, (2 0 0)
2θ 72.0, rel. 203, (1 1 2)
2θ 73.5, rel. 46, (0 0 4)

Diffraction record for Sr4RhN4. The PXRD pattern is theoretical, not measured: it uses a structure optimized by DFT (PBE) and Cu Kα, 1.54184 Å.
Intensities are scaled so that the largest is 1000.

```
data_Sr4RhN4
_cell_length_a 10.881
_cell_length_b 4.051
_cell_length_c 16.168
_cell_angle_alpha 90.00
_cell_angle_beta 90.00
_cell_angle_gamma 90.00
_symmetry_space_group_name_H-M 'P n m a'
_symmetry_Int_Tables_number 62
loop_
_symmetry_equiv_pos_as_xyz
'x,y,z'
'-x,-y,-z'
'-x+1/2,-y,z+1/2'
'x+1/2,y,-z+1/2'
'x+1/2,-y+1/2,-z+1/2'
'-x+1/2,y+1/2,z+1/2'
'-x,y+1/2,-z'
'x,-y+1/2,z'
loop_
_atom_site_label
_atom_site_fract_x
_atom_site_fract_y
_atom_site_fract_z
Sr1 0.032 0.250 0.174
Sr2 0.084 0.250 0.583
Sr3 0.151 0.250 0.976
Sr4 0.219 0.250 0.763
Rh1 0.126 0.250 0.369
N1 0.041 0.750 0.676
N2 0.062 0.750 0.077
N3 0.174 0.750 0.110
N4 0.194 0.750 0.867
```

Top 12 peaks for 10 to 80 degrees two-theta, in order of rising 2θ:
2θ 27.5, rel. 1000, (2 1 0)
2θ 28.0, rel. 344, (2 1 1)
2θ 28.8, rel. 434, (1 0 5)
2θ 29.7, rel. 265, (3 0 3)
2θ 32.2, rel. 530, (2 0 5)
2θ 34.8, rel. 171, (4 0 2)
2θ 35.0, rel. 245, (3 1 2)
2θ 35.5, rel. 637, (0 1 5)
2θ 36.5, rel. 368, (1 1 5)
2θ 44.7, rel. 317, (0 2 0)
2θ 46.0, rel. 138, (4 1 4)
2θ 50.5, rel. 207, (5 1 3)

Diffraction record for Sr7RhN6. The PXRD pattern is theoretical, not measured: it uses a structure optimized by DFT (PBE) and Cu Kα, 1.54184 Å.
Intensities are scaled so that the largest is 1000.

```
data_Sr7RhN6
_cell_length_a 11.724
_cell_length_b 6.720
_cell_length_c 13.939
_cell_angle_alpha 90.00
_cell_angle_beta 90.00
_cell_angle_gamma 90.00
_symmetry_space_group_name_H-M 'P b c n'
_symmetry_Int_Tables_number 60
loop_
_symmetry_equiv_pos_as_xyz
'x,y,z'
'-x,-y,-z'
'-x+1/2,-y+1/2,z+1/2'
'x+1/2,y+1/2,-z+1/2'
'x+1/2,-y+1/2,-z'
'-x+1/2,y+1/2,z'
'-x,y,-z+1/2'
'x,-y,z+1/2'
loop_
_atom_site_label
_atom_site_fract_x
_atom_site_fract_y
_atom_site_fract_z
Sr1 0.000 0.068 0.250
Sr2 0.037 0.231 0.521
Sr3 0.206 0.393 0.122
Sr4 0.223 0.363 0.874
Rh1 0.000 0.425 0.750
N1 0.044 0.392 0.356
N2 0.126 0.247 0.709
N3 0.168 0.096 0.997
```

Top 12 peaks for 10 to 80 degrees two-theta, in order of rising 2θ:
2θ 28.4, rel. 286, (1 2 1)
2θ 29.5, rel. 165, (0 2 2)
2θ 29.8, rel. 1000, (2 0 4)
2θ 30.5, rel. 299, (4 0 0)
2θ 33.3, rel. 292, (2 2 2)
2θ 33.8, rel. 218, (1 2 3)
2θ 34.0, rel. 307, (4 1 1)
2θ 35.8, rel. 114, (3 2 1)
2θ 40.4, rel. 119, (3 2 3)
2θ 42.9, rel. 123, (1 2 5)
2θ 43.0, rel. 113, (4 2 2)
2θ 52.6, rel. 213, (0 0 8)

Diffraction record for Sr3Rh3N5. The PXRD pattern is theoretical, not measured: it uses a structure optimized by DFT (PBE) and Cu Kα, 1.54184 Å.
Intensities are scaled so that the largest is 1000.

```
data_Sr3Rh3N5
_cell_length_a 6.356
_cell_length_b 7.853
_cell_length_c 8.373
_cell_angle_alpha 104.38
_cell_angle_beta 110.90
_cell_angle_gamma 101.54
_symmetry_space_group_name_H-M 'P -1'
_symmetry_Int_Tables_number 2
loop_
_symmetry_equiv_pos_as_xyz
'x,y,z'
'-x,-y,-z'
loop_
_atom_site_label
_atom_site_fract_x
_atom_site_fract_y
_atom_site_fract_z
Sr1 0.175 0.348 0.386
Sr2 0.219 0.181 0.737
Sr3 0.238 0.907 0.091
Rh1 0.246 0.490 0.085
Rh2 0.361 0.845 0.499
Rh3 0.424 0.690 0.816
N1 0.205 0.542 0.870
N2 0.220 0.229 0.078
N3 0.225 0.014 0.402
N4 0.291 0.862 0.718
N5 0.411 0.649 0.335
```

Top 12 peaks for 10 to 80 degrees two-theta, in order of rising 2θ:
2θ 20.1, rel. 224, (0 1 1)
2θ 28.8, rel. 232, (-2 1 1)
2θ 30.2, rel. 255, (2 -1 0)
2θ 31.0, rel. 663, (1 2 -2)
2θ 31.2, rel. 486, (0 2 1)
2θ 31.6, rel. 382, (1 -1 2)
2θ 31.8, rel. 391, (2 0 0)
2θ 33.1, rel. 1000, (1 0 -3)
2θ 33.5, rel. 416, (1 -2 2)
2θ 34.0, rel. 414, (-2 2 1)
2θ 39.7, rel. 327, (1 -3 2)
2θ 40.8, rel. 235, (2 -3 0)

Diffraction record for Sr3Rh2N4. The PXRD pattern is theoretical, not measured: it uses a structure optimized by DFT (PBE) and Cu Kα, 1.54184 Å.
Intensities are scaled so that the largest is 1000.

```
data_Sr3Rh2N4
_cell_length_a 6.367
_cell_length_b 10.326
_cell_length_c 9.058
_cell_angle_alpha 90.00
_cell_angle_beta 90.00
_cell_angle_gamma 90.00
_symmetry_space_group_name_H-M 'P n n a'
_symmetry_Int_Tables_number 52
loop_
_symmetry_equiv_pos_as_xyz
'x,y,z'
'-x,-y,-z'
'-x+1/2,-y,z'
'x+1/2,y,-z'
'x,-y+1/2,-z+1/2'
'-x,y+1/2,z+1/2'
'-x+1/2,y+1/2,-z+1/2'
'x+1/2,-y+1/2,z+1/2'
loop_
_atom_site_label
_atom_site_fract_x
_atom_site_fract_y
_atom_site_fract_z
Sr1 0.122 0.155 0.081
Sr2 0.250 0.000 0.408
Rh1 0.180 0.250 0.750
Rh2 0.250 0.000 0.746
N1 0.026 0.599 0.308
N2 0.079 0.643 0.843
```

Top 12 peaks for 10 to 80 degrees two-theta, in order of rising 2θ:
2θ 17.0, rel. 326, (1 0 1)
2θ 27.7, rel. 439, (0 3 1)
2θ 28.0, rel. 207, (2 0 0)
2θ 29.4, rel. 336, (2 1 0)
2θ 32.8, rel. 1000, (1 0 3)
2θ 34.0, rel. 284, (1 1 3)
2θ 34.6, rel. 245, (2 2 1)
2θ 35.7, rel. 344, (1 3 2)
2θ 38.9, rel. 274, (1 4 1)
2θ 40.2, rel. 164, (0 4 2)
2θ 45.2, rel. 214, (2 4 0)
2θ 64.7, rel. 163, (3 4 3)

Diffraction record for Sr3RhN3. The PXRD pattern is theoretical, not measured: it uses a structure optimized by DFT (PBE) and Cu Kα, 1.54184 Å.
Intensities are scaled so that the largest is 1000.

```
data_Sr3RhN3
_cell_length_a 7.7278
_cell_length_b 7.7278
_cell_length_c 5.3545
_cell_angle_alpha 90.00
_cell_angle_beta 90.00
_cell_angle_gamma 120.00
_symmetry_space_group_name_H-M 'P 63/m'
_symmetry_Int_Tables_number 176
_symmetry_space_group_name_Hall '-P 6c'
loop_
_atom_site_label
_atom_site_fract_x
_atom_site_fract_y
_atom_site_fract_z
Sr1 0.0926 0.3639 0.2500
Rh1 0.3333 0.6667 0.7500
N1 0.1053 0.4028 0.7500
```

Top 12 peaks for 10 to 80 degrees two-theta, in order of rising 2θ:
2θ 13.2, rel. 251, (1 0 0)
2θ 26.6, rel. 231, (2 0 0)
2θ 28.5, rel. 563, (1 1 1)
2θ 31.5, rel. 1000, (2 0 1)
2θ 33.5, rel. 508, (0 0 2)
2θ 35.5, rel. 385, (1 2 0)
2θ 39.4, rel. 193, (1 2 1)
2θ 40.4, rel. 227, (3 0 0)
2θ 49.6, rel. 279, (1 2 2)
2θ 53.5, rel. 197, (3 0 2)
2θ 58.6, rel. 173, (2 0 3)
2θ 63.0, rel. 222, (2 3 1)